Diffraction record for Rb4NaHg3F12. The powder X-ray diffraction pattern is theoretical, not measured: it uses a cell relaxed with GGA-PBE and Cu Kα.
Lines closer than 0.1° are merged.

Crystal structure
Cell: 9.1303 9.1303 9.1303 Å, 90.00 90.00 90.00°
Space group Im-3m (No. 229)
Symmetry-distinct sites (fractional):
1 Rb 0.2500 0.2500 0.2500
2 Na 0.0000 0.0000 0.0000
3 Hg 0.0000 0.0000 0.5000
4 F 0.0000 0.0000 0.2570
5 F 0.0000 0.2500 0.5000

The 10 most intense peaks (10° ≤ 2θ ≤ 90°), by intensity:
two_theta	I_rel	hkl
27.6	100.0	2 2 0
48.9	43.0	4 2 2
39.5	35.5	4 0 0
57.1	23.0	4 4 0
78.4	22.7	6 4 2
13.7	19.7	1 1 0
64.6	19.2	6 2 0
19.4	18.3	2 0 0
23.9	11.4	2 1 1
44.4	9.2	4 2 0

Diffraction record for NaTlHgF4. The powder X-ray diffraction pattern is theoretical, not measured: it uses a cell relaxed with GGA-PBE and Cu Kα.
Lines closer than 0.1° are merged.

Crystal structure
Cell: 6.7574 6.0072 7.5219 Å, 90.00 114.22 90.00°
Space group P2_1/m (No. 11)
Symmetry-distinct sites (fractional):
1 Na 0.1309 0.2500 0.4792
2 Tl 0.2048 0.7500 0.0253
3 Hg 0.4300 0.7500 0.6669
4 F 0.1835 0.5250 0.7046
5 F 0.2099 0.2500 0.1846
6 F 0.4936 0.7500 0.3999

The 10 most intense peaks (10° ≤ 2θ ≤ 90°), by intensity:
two_theta	I_rel	hkl
20.6	100.0	1 1 0
27.4	75.2	1 1 1
29.7	62.9	0 2 0
30.4	62.1	2 1 -1
30.0	53.8	2 0 -2
47.8	53.4	2 2 1
24.0	53.0	1 0 -2
28.3	48.2	1 1 -2
19.6	47.0	0 1 1
42.8	30.6	2 2 -2

Diffraction record for Na4TlHg3F12. The powder X-ray diffraction pattern is theoretical, not measured: it uses a cell relaxed with GGA-PBE and Cu Kα.
Lines closer than 0.1° are merged.

Crystal structure
Cell: 8.5767 8.5767 8.5767 Å, 90.00 90.00 90.00°
Space group Im-3 (No. 204)
Symmetry-distinct sites (fractional):
1 Na 0.2500 0.2500 0.2500
2 Tl 0.0000 0.0000 0.0000
3 Hg 0.0000 0.0000 0.5000
4 F 0.0000 0.1775 0.3160

The 10 most intense peaks (10° ≤ 2θ ≤ 90°), by intensity:
two_theta	I_rel	hkl
29.5	100.0	2 2 0
20.7	77.3	2 0 0
52.3	53.5	4 2 2
36.3	36.3	2 2 2
47.4	34.8	4 2 0
42.1	25.3	4 0 0
84.5	23.2	6 4 2
65.3	22.8	6 0 0
69.3	19.9	6 0 2
61.1	14.5	4 4 0

Diffraction record for Na2ZnHgF8. The powder X-ray diffraction pattern is theoretical, not measured: it uses a cell relaxed with GGA-PBE and Cu Kα.
Lines closer than 0.1° are merged.

Crystal structure
Cell: 4.9386 5.1437 7.0625 Å, 85.73 86.33 85.92°
Space group P-1 (No. 2)
Symmetry-distinct sites (fractional):
1 Na 0.0037 0.0060 0.2345
2 Zn 0.5000 0.5000 0.0000
3 Hg 0.5000 0.5000 0.5000
4 F 0.1919 0.7940 0.5011
5 F 0.2146 0.7649 0.0039
6 F 0.3211 0.3159 0.7491
7 F 0.3247 0.3110 0.2125

The 10 most intense peaks (10° ≤ 2θ ≤ 90°), by intensity:
two_theta	I_rel	hkl
17.3	100.0	0 1 0
24.2	99.0	1 1 0
18.0	88.0	1 0 0
26.0	75.4	1 -1 0
33.6	47.7	1 1 2
12.6	42.6	0 0 1
29.8	40.9	0 1 2
25.3	37.4	0 0 2
30.4	36.8	1 0 2
37.0	31.0	1 1 -2

Diffraction record for NbHg3F6. The powder X-ray diffraction pattern is theoretical, not measured: it uses a cell relaxed with GGA-PBE and Cu Kα.
Lines closer than 0.1° are merged.

Crystal structure
Cell: 5.2759 5.2759 7.6823 Å, 90.00 90.00 120.00°
Space group P-31m (No. 162)
Symmetry-distinct sites (fractional):
1 Nb 0.0000 0.0000 0.0000
2 Hg 0.0000 0.0000 0.5000
3 Hg 0.3333 0.6667 0.5000
4 F 0.0000 0.2956 0.1509

The 10 most intense peaks (10° ≤ 2θ ≤ 90°), by intensity:
two_theta	I_rel	hkl
11.5	100.0	0 0 1
41.5	83.2	2 -1 2
36.0	70.5	1 1 1
34.0	56.9	1 1 0
23.2	51.9	0 0 2
59.5	30.3	1 1 4
49.6	20.7	1 1 3
66.0	18.7	3 0 2
35.0	16.4	0 0 3
60.8	15.9	3 0 0

Diffraction record for NdHg2F8. The powder X-ray diffraction pattern is theoretical, not measured: it uses a cell relaxed with GGA-PBE and Cu Kα.
Lines closer than 0.1° are merged.

Crystal structure
Cell: 5.8319 5.8319 11.2198 Å, 90.00 90.00 90.00°
Space group I422 (No. 97)
Symmetry-distinct sites (fractional):
1 Nd 0.0000 0.0000 0.0000
2 Hg 0.0000 0.5000 0.2500
3 F 0.1796 0.2805 0.8763

The 10 most intense peaks (10° ≤ 2θ ≤ 90°), by intensity:
two_theta	I_rel	hkl
26.8	100.0	1 1 2
44.8	37.6	2 0 4
52.2	33.1	3 1 2
17.1	25.2	1 0 1
30.7	21.0	2 0 0
21.5	20.3	1 1 0
43.9	18.3	2 2 0
53.8	17.8	1 1 6
15.8	17.7	0 0 2
71.9	13.5	3 1 6